This entry pairs a crystal structure of RbBiF6 with its calculated PXRD pattern. Radiation: Cu Kα (λ = 1.5418 Å). Structure: a DFT-relaxed cell (GGA-PBE, Alexandria).
Peak positions follow from Bragg's law for the DFT cell and can differ from measured ones.

Cell and atoms:
```
RbBiF6
1.0
6.097 0.000 0.000
-3.048 5.280 0.000
0.000 0.000 11.657
Rb Bi F
2 2 12
Cartesian
0.000 3.520 2.914
3.048 1.760 8.742
0.000 0.000 0.000
0.000 0.000 5.828
-0.796 1.463 7.022
-2.180 3.860 10.463
0.796 1.463 10.463
-1.384 5.238 7.022
1.664 0.042 1.194
0.869 1.420 4.635
2.180 3.860 7.022
1.384 5.238 10.463
4.432 0.042 4.635
2.253 3.818 1.194
5.228 1.420 1.194
3.844 3.818 4.635
```

The 8 most intense peaks (2θ from 10° to 90°), low angle first:
| Position (°2θ) | I_rel |
| --- | --- |
| 15.2 | 15 |
| 16.8 | 55 |
| 18.4 | 14 |
| 22.7 | 100 |
| 29.3 | 24 |
| 37.4 | 24 |
| 42.9 | 33 |
| 48.2 | 26 |

---

This entry pairs a crystal structure of BiS2F4 with its calculated PXRD pattern. Radiation: Cu Kα (λ = 1.5418 Å). Structure: a DFT-relaxed cell (GGA-PBE, Alexandria).
Peak positions follow from Bragg's law for the DFT cell and can differ from measured ones.

Cell and atoms:
```
BiS2F4
1.0
3.876 0.000 0.000
0.007 4.178 0.000
0.474 0.451 8.093
Bi S F
1 2 4
Cartesian
0.000 0.000 0.000
0.812 2.010 3.384
3.545 2.619 4.709
0.438 2.535 6.818
1.955 4.196 1.343
2.402 0.433 6.750
3.919 2.094 1.275
```

The 8 most intense peaks (2θ from 10° to 90°), low angle first:
| Position (°2θ) | I_rel |
| --- | --- |
| 10.9 | 100 |
| 21.3 | 13 |
| 22.0 | 26 |
| 23.0 | 34 |
| 23.4 | 33 |
| 24.5 | 36 |
| 26.1 | 17 |
| 31.0 | 20 |

---

This entry pairs a crystal structure of BiSeF3 with its calculated PXRD pattern. Radiation: Cu Kα (λ = 1.5418 Å). Structure: a DFT-relaxed cell (GGA-PBE, Alexandria).
Peak positions follow from Bragg's law for the DFT cell and can differ from measured ones.

Cell and atoms:
```
BiSeF3
1.0
3.638 0.000 0.000
0.000 6.236 0.000
-0.097 0.000 15.824
Bi Se F
4 4 12
Cartesian
0.865 1.514 6.916
0.817 4.722 14.828
2.725 1.514 0.996
2.677 4.722 8.908
0.837 2.377 12.680
0.885 3.859 4.768
2.657 2.377 11.056
2.705 3.859 3.144
0.813 0.824 15.325
0.861 5.412 7.413
0.857 2.986 8.895
0.905 3.250 0.983
0.904 0.803 2.240
0.856 5.433 10.152
2.686 0.803 5.672
2.638 5.433 13.584
2.636 2.986 14.841
2.685 3.250 6.929
2.681 0.824 8.412
2.729 5.412 0.500
```

The 8 most intense peaks (2θ from 10° to 90°), low angle first:
| Position (°2θ) | I_rel |
| --- | --- |
| 11.2 | 57 |
| 22.1 | 100 |
| 28.6 | 19 |
| 29.0 | 50 |
| 31.7 | 23 |
| 39.7 | 23 |
| 44.5 | 19 |
| 50.9 | 23 |

---

This entry pairs a crystal structure of SiBiF2 with its calculated PXRD pattern. Radiation: Cu Kα (λ = 1.5418 Å). Structure: a DFT-relaxed cell (GGA-PBE, Alexandria).
Peak positions follow from Bragg's law for the DFT cell and can differ from measured ones.

Cell and atoms:
```
SiBiF2
1.0
1.559 0.900 9.489
-1.559 0.900 9.489
0.000 -1.800 9.489
Si Bi F
1 1 2
Cartesian
0.000 0.000 0.000
0.000 0.000 14.233
0.000 0.000 1.668
0.000 0.000 26.799
```

The 8 most intense peaks (2θ from 10° to 90°), low angle first:
| Position (°2θ) | I_rel |
| --- | --- |
| 18.7 | 89 |
| 28.2 | 36 |
| 33.3 | 29 |
| 33.8 | 100 |
| 35.6 | 71 |
| 36.8 | 40 |
| 40.1 | 40 |
| 42.0 | 31 |

---

This entry pairs a crystal structure of Sm2BiF11 with its calculated PXRD pattern. Radiation: Cu Kα (λ = 1.5418 Å). Structure: a DFT-relaxed cell (GGA-PBE, Alexandria).
Peak positions follow from Bragg's law for the DFT cell and can differ from measured ones.

Cell and atoms:
```
Sm2BiF11
1.0
-4.115 5.254 5.492
4.115 -5.254 5.492
4.115 5.254 -5.492
Sm Bi F
4 2 22
Cartesian
1.139 1.914 0.000
5.254 3.340 0.000
-1.139 1.914 5.492
2.976 3.340 5.492
4.115 0.000 2.746
0.000 5.254 2.746
0.000 0.000 0.000
4.864 1.708 -1.658
5.778 -0.668 1.562
4.864 -1.708 3.834
2.452 0.668 1.562
3.073 -2.941 5.492
3.073 2.941 0.000
2.452 -0.668 3.930
4.864 1.708 1.658
1.663 5.922 -1.562
0.749 3.546 1.658
0.000 0.000 5.492
3.366 1.708 3.834
2.452 -0.668 7.054
-0.749 3.546 3.834
1.663 5.922 1.562
1.042 2.313 5.492
1.042 8.194 0.000
1.663 4.586 3.930
-0.749 6.962 1.658
-1.663 5.922 3.930
-0.749 3.546 7.150
```

The 8 most intense peaks (2θ from 10° to 90°), low angle first:
| Position (°2θ) | I_rel |
| --- | --- |
| 13.7 | 31 |
| 21.2 | 100 |
| 21.6 | 31 |
| 23.4 | 65 |
| 24.6 | 42 |
| 43.3 | 41 |
| 45.1 | 31 |
| 47.7 | 39 |

---

This entry pairs a crystal structure of Sr2BiF8 with its calculated PXRD pattern. Radiation: Cu Kα (λ = 1.5418 Å). Structure: a DFT-relaxed cell (GGA-PBE, Alexandria).
Peak positions follow from Bragg's law for the DFT cell and can differ from measured ones.

Cell and atoms:
```
Sr2BiF8
1.0
-2.006 2.641 7.736
2.006 -2.641 7.736
2.006 2.641 -7.736
Sr Bi F
2 1 8
Cartesian
0.000 0.000 2.694
0.000 0.000 12.779
0.000 0.000 7.736
2.006 1.306 -1.748
0.000 1.423 0.000
2.006 0.000 4.187
2.006 1.306 1.748
0.000 1.334 5.988
0.000 2.641 3.549
0.000 3.859 0.000
0.000 1.334 9.485
```

The 8 most intense peaks (2θ from 10° to 90°), low angle first:
| Position (°2θ) | I_rel |
| --- | --- |
| 11.4 | 25 |
| 17.7 | 26 |
| 24.1 | 100 |
| 27.9 | 57 |
| 28.2 | 48 |
| 44.7 | 63 |
| 45.2 | 63 |
| 51.9 | 26 |

---

This entry pairs a crystal structure of SrBiF with its calculated PXRD pattern. Radiation: Cu Kα (λ = 1.5418 Å). Structure: a DFT-relaxed cell (GGA-PBE, Alexandria).
Peak positions follow from Bragg's law for the DFT cell and can differ from measured ones.

Cell and atoms:
```
SrBiF
1.0
4.279 0.000 0.000
-2.139 3.705 0.000
0.000 0.000 10.520
Sr Bi F
2 2 2
Cartesian
0.000 2.470 3.569
2.139 1.235 6.951
0.000 2.470 9.572
2.139 1.235 0.947
0.000 2.470 6.062
2.139 1.235 4.457
```

The 8 most intense peaks (2θ from 10° to 90°), low angle first:
| Position (°2θ) | I_rel |
| --- | --- |
| 24.0 | 43 |
| 25.5 | 15 |
| 29.5 | 100 |
| 35.2 | 47 |
| 42.2 | 40 |
| 49.9 | 17 |
| 52.4 | 21 |
| 69.4 | 19 |

---

This entry pairs a crystal structure of Sr3Bi2F with its calculated PXRD pattern. Radiation: Cu Kα (λ = 1.5418 Å). Structure: a DFT-relaxed cell (GGA-PBE, Alexandria).
Peak positions follow from Bragg's law for the DFT cell and can differ from measured ones.

Cell and atoms:
```
Sr3Bi2F
1.0
9.908 0.000 0.000
0.000 4.294 0.000
0.000 0.000 19.103
Sr Bi F
12 8 4
Cartesian
0.235 1.074 2.017
1.195 1.074 11.115
1.873 3.221 5.196
3.081 1.074 14.748
3.759 3.221 1.563
4.719 3.221 11.568
5.189 1.074 7.535
6.149 1.074 17.539
6.827 3.221 4.355
8.035 1.074 13.906
8.713 3.221 7.988
9.673 3.221 17.086
0.712 3.221 13.737
2.466 1.074 18.234
2.488 3.221 8.683
4.242 1.074 4.186
5.666 3.221 14.917
7.421 1.074 10.420
7.442 3.221 0.869
9.196 1.074 5.366
1.400 3.221 2.566
3.554 1.074 12.117
6.354 3.221 6.985
8.508 1.074 16.536
```

The 8 most intense peaks (2θ from 10° to 90°), low angle first:
| Position (°2θ) | I_rel |
| --- | --- |
| 20.2 | 50 |
| 23.0 | 52 |
| 25.0 | 84 |
| 27.9 | 100 |
| 29.1 | 71 |
| 29.4 | 64 |
| 36.3 | 77 |
| 42.1 | 50 |

---

This entry pairs a crystal structure of Ta2Bi2F with its calculated PXRD pattern. Radiation: Cu Kα (λ = 1.5418 Å). Structure: a DFT-relaxed cell (GGA-PBE, Alexandria).
Peak positions follow from Bragg's law for the DFT cell and can differ from measured ones.

Cell and atoms:
```
Ta2Bi2F
1.0
-1.856 1.856 8.510
1.856 -1.856 8.510
1.856 1.856 -8.510
Ta Bi F
2 2 1
Cartesian
1.856 0.000 4.255
0.000 1.856 4.255
0.000 0.000 1.725
0.000 0.000 15.294
0.000 0.000 8.510
```

The 8 most intense peaks (2θ from 10° to 90°), low angle first:
| Position (°2θ) | I_rel |
| --- | --- |
| 10.4 | 48 |
| 24.5 | 58 |
| 31.5 | 35 |
| 35.8 | 100 |
| 40.4 | 77 |
| 49.1 | 30 |
| 59.5 | 24 |
| 65.3 | 29 |

---

This entry pairs a crystal structure of Tb2BiF11 with its calculated PXRD pattern. Radiation: Cu Kα (λ = 1.5418 Å). Structure: a DFT-relaxed cell (GGA-PBE, Alexandria).
Peak positions follow from Bragg's law for the DFT cell and can differ from measured ones.

Cell and atoms:
```
Tb2BiF11
1.0
-4.025 5.168 5.466
4.025 -5.168 5.466
4.025 5.168 -5.466
Tb Bi F
4 2 22
Cartesian
1.100 1.881 0.000
5.124 3.287 0.000
-1.100 1.881 5.466
2.925 3.287 5.466
4.025 0.000 2.733
0.000 5.168 2.733
0.000 0.000 0.000
4.774 1.709 -1.648
5.689 -0.662 1.548
4.774 -1.709 3.818
2.361 0.662 1.548
2.996 -2.877 5.466
2.996 2.877 0.000
2.361 -0.662 3.918
4.774 1.709 1.648
1.664 5.830 -1.548
0.749 3.459 1.648
0.000 0.000 5.466
3.276 1.709 3.818
2.361 -0.662 7.014
-0.749 3.459 3.818
1.664 5.830 1.548
1.029 2.291 5.466
1.029 8.045 0.000
1.664 4.506 3.918
-0.749 6.877 1.648
-1.664 5.830 3.918
-0.749 3.459 7.114
```

The 8 most intense peaks (2θ from 10° to 90°), low angle first:
| Position (°2θ) | I_rel |
| --- | --- |
| 21.4 | 100 |
| 22.0 | 33 |
| 23.7 | 66 |
| 25.1 | 45 |
| 28.2 | 35 |
| 43.7 | 42 |
| 46.0 | 30 |
| 48.4 | 33 |

---

This entry pairs a crystal structure of BiTeF with its calculated PXRD pattern. Radiation: Cu Kα (λ = 1.5418 Å). Structure: a DFT-relaxed cell (GGA-PBE, Alexandria).
Peak positions follow from Bragg's law for the DFT cell and can differ from measured ones.

Cell and atoms:
```
BiTeF
1.0
4.172 0.000 0.000
-2.086 3.613 0.000
0.000 0.000 5.576
Bi Te F
1 1 1
Cartesian
0.000 0.000 0.000
0.000 2.409 3.757
2.086 1.204 0.876
```

The 8 most intense peaks (2θ from 10° to 90°), low angle first:
| Position (°2θ) | I_rel |
| --- | --- |
| 15.9 | 35 |
| 24.6 | 28 |
| 29.5 | 100 |
| 40.9 | 43 |
| 43.4 | 31 |
| 46.5 | 14 |
| 53.3 | 20 |
| 71.1 | 17 |

---

This entry pairs a crystal structure of BiTeF with its calculated PXRD pattern. Radiation: Cu Kα (λ = 1.5418 Å). Structure: a DFT-relaxed cell (GGA-PBE, Alexandria).
Peak positions follow from Bragg's law for the DFT cell and can differ from measured ones.

Cell and atoms:
```
BiTeF
1.0
7.600 0.000 0.000
0.000 4.181 0.000
-0.831 0.000 10.893
Bi Te F
4 4 4
Cartesian
0.000 0.000 0.000
1.017 2.091 4.656
2.214 2.091 9.241
5.017 0.000 4.587
2.331 0.000 2.960
3.846 2.091 6.485
3.679 0.000 10.706
6.367 2.091 2.557
-0.352 0.000 5.483
0.518 0.000 9.121
1.712 2.091 0.227
6.182 2.091 9.992
```

The 8 most intense peaks (2θ from 10° to 90°), low angle first:
| Position (°2θ) | I_rel |
| --- | --- |
| 16.3 | 75 |
| 25.4 | 100 |
| 28.9 | 76 |
| 29.7 | 41 |
| 32.8 | 36 |
| 34.1 | 42 |
| 42.1 | 70 |
| 43.3 | 44 |